Rb2BaOs: calculated X-ray powder pattern (a wavelength of 1.5418 Å), based on a structure optimized by DFT (GGA-PBE).
Neutral-atom scattering factors, no anomalous dispersion.

Crystal structure
abc: 4.9421 4.9421 27.1813
angles: 90.00 90.00 90.00
Space group I-42d (No. 122)
Asymmetric unit:
Rb  0.2269  0.2500  0.1250 x8
Ba  0.0000  0.0000  0.5000 x4
Os  0.0000  0.0000  0.0000 x4

Top 10 peaks for 10 to 80 degrees two-theta, low angle first:
index, 2theta, I_rel
0 0 4, 13.03, 19
0 0 8, 26.23, 47
1 1 2, 26.33, 100
1 1 6, 32.35, 59
2 0 4, 38.78, 65
1 1 10, 42.11, 30
2 0 12, 54.99, 24
2 2 8, 59.52, 38
3 1 6, 62.91, 17
2 2 16, 78.56, 17